Record 1
The following is a computed powder XRD pattern of VCuPbO5. It was derived from a cell relaxed with GGA+U, using Cu Kα.
Neutral-atom scattering factors, no anomalous dispersion.

Top 10 peaks for 2θ from 10° to 90°, in order of falling intensity:
2θ 24.09, 3.694 Å, I 100
2θ 15.88, 5.581 Å, I 31
2θ 32.60, 2.747 Å, I 29
2θ 33.74, 2.657 Å, I 25
2θ 49.68, 1.835 Å, I 16
2θ 34.40, 2.607 Å, I 15
2θ 34.29, 2.615 Å, I 15
2θ 20.79, 4.272 Å, I 13
2θ 48.96, 1.860 Å, I 11
2θ 56.68, 1.624 Å, I 11

Atomic structure:
```
VCuPbO5
1.0
4.2245 -4.2721 0.0000
4.2245 4.2721 0.0000
-4.0128 0.0000 7.1613
V Cu Pb O
2 2 2 10
Direct
0.1247 0.8753 0.7500
0.8753 0.1247 0.2500
0.1825 0.8175 0.2500
0.8175 0.1825 0.7500
0.5000 0.5000 0.0000
0.5000 0.5000 0.5000
0.1672 0.1967 0.8355
0.1967 0.1672 0.3355
0.2284 0.7534 0.5726
0.2466 0.7716 0.9274
0.3971 0.6029 0.2500
0.6029 0.3971 0.7500
0.7534 0.2284 0.0726
0.7716 0.2466 0.4274
0.8033 0.8328 0.6645
0.8328 0.8033 0.1645
```

***

Record 2
The following is a computed powder XRD pattern of CrO2. It was derived from a cell relaxed with GGA+U, using Cu Kα.
Neutral-atom scattering factors, no anomalous dispersion.

Top 10 peaks for 2θ from 10° to 90°, in order of falling intensity:
2θ 12.60, 7.024 Å, I 100
2θ 36.09, 2.489 Å, I 79
2θ 17.86, 4.967 Å, I 78
2θ 28.41, 3.141 Å, I 45
2θ 58.72, 1.572 Å, I 39
2θ 48.41, 1.880 Å, I 32
2θ 68.00, 1.379 Å, I 24
2θ 40.54, 2.225 Å, I 20
2θ 55.49, 1.656 Å, I 18
2θ 38.45, 2.341 Å, I 9

Atomic structure:
```
CrO2
1.0
-4.9670 4.9670 1.5033
4.9670 -4.9670 1.5033
4.9670 4.9670 -1.5033
Cr O
4 8
Direct
0.1574 0.6595 0.8169
0.3405 0.1574 0.4978
0.6595 0.8426 0.5022
0.8426 0.3405 0.1831
0.0336 0.3358 0.3694
0.2891 0.3405 0.6295
0.3358 0.9664 0.3022
0.3405 0.7109 0.0514
0.6595 0.2891 0.9486
0.6642 0.0336 0.6978
0.7109 0.6595 0.3705
0.9664 0.6642 0.6306
```